No. 1
The following is a computed powder XRD pattern of Rb3Pu3USe8. It was derived from DFT lattice parameters and positions (GGA-PBE), using CuKα.
Kinematic intensities with the Lorentz-polarization factor, no thermal factor.

Principal peaks in the range 2θ = 5–70°, low angle first:
- 2θ 10.93, d = 8.096 Å, rel. 76
- 2θ 24.42, d = 3.644 Å, rel. 16
- 2θ 28.32, d = 3.151 Å, rel. 100
- 2θ 35.53, d = 2.527 Å, rel. 25
- 2θ 38.41, d = 2.344 Å, rel. 34
- 2θ 42.48, d = 2.128 Å, rel. 36
- 2θ 43.99, d = 2.058 Å, rel. 16
- 2θ 44.71, d = 2.027 Å, rel. 14
- 2θ 51.84, d = 1.764 Å, rel. 19
- 2θ 69.18, d = 1.358 Å, rel. 16

Atomic structure:
a b c (Å): 9.471 9.471 9.471
angles (deg): 53.41 53.41 53.41
Fractional positions:
Rb 0.000 0.500 0.500
Rb 0.500 0.000 0.500
Rb 0.500 0.500 0.000
Pu 0.000 0.000 0.500
Pu 0.000 0.500 0.000
Pu 0.500 0.000 0.000
U 0.500 0.500 0.500
Se 0.231 0.231 0.231
Se 0.239 0.725 0.725
Se 0.275 0.275 0.761
Se 0.275 0.761 0.275
Se 0.725 0.239 0.725
Se 0.725 0.725 0.239
Se 0.761 0.275 0.275
Se 0.769 0.769 0.769

No. 2
The following is a computed powder XRD pattern of Rb2PuZn2Se4. It was derived from DFT lattice parameters and positions (GGA-PBE), using CuKα.
Kinematic intensities with the Lorentz-polarization factor, no thermal factor.

Principal peaks in the range 2θ = 5–70°, low angle first:
- 2θ 11.38, d = 7.775 Å, rel. 100
- 2θ 11.81, d = 7.492 Å, rel. 26
- 2θ 22.87, d = 3.889 Å, rel. 26
- 2θ 27.41, d = 3.254 Å, rel. 47
- 2θ 29.57, d = 3.021 Å, rel. 37
- 2θ 30.18, d = 2.962 Å, rel. 92
- 2θ 31.96, d = 2.800 Å, rel. 87
- 2θ 35.33, d = 2.541 Å, rel. 38
- 2θ 42.10, d = 2.146 Å, rel. 34
- 2θ 49.25, d = 1.850 Å, rel. 35

Atomic structure:
a b c (Å): 8.186 8.186 8.198
angles (deg): 107.81 107.81 30.40
Fractional positions:
Rb 0.130 0.130 0.053
Rb 0.870 0.870 0.947
Pu 0.000 0.000 0.500
Zn 0.330 0.330 0.518
Zn 0.670 0.670 0.482
Se 0.205 0.205 0.664
Se 0.480 0.480 0.736
Se 0.520 0.520 0.264
Se 0.795 0.795 0.336